# Pr8Dy3Th
Simulated PXRD pattern, Cu Kα (weighted mean of Kα1 and Kα2). Input: a PBE-relaxed structure.

Principal peaks in the range 5 to 70 degrees two-theta, by angle:
2θ/deg	d/Å	I/Imax	h k l
27.93	3.195	23	3 0 1
30.09	2.970	26	0 4 0
31.80	2.814	100	0 2 2
41.50	2.176	11	3 4 1
49.34	1.847	6	6 0 0
49.45	1.843	13	3 0 3
54.52	1.683	22	0 6 2
58.88	1.569	8	6 4 0
58.97	1.566	15	3 4 3
59.92	1.544	11	6 2 2

Cell and atoms:
```
data_Pr8Dy3Th
_chemical_formula_sum 'Pr16 Dy6 Th2'
_cell_length_a 11.083
_cell_length_b 11.881
_cell_length_c 6.381
_cell_angle_alpha 90.00
_cell_angle_beta 90.00
_cell_angle_gamma 90.00
_space_group_name_H-M_alt 'I m m 2'
_space_group_IT_number 44
_space_group_name_Hall 'I 2 -2'
loop_
_atom_site_label
_atom_site_fract_x
_atom_site_fract_y
_atom_site_fract_z
Pr1 0.161 0.000 0.000
Pr2 0.162 0.249 0.339
Pr3 0.167 0.500 0.995
Dy1 0.000 0.250 0.826
Dy2 0.000 0.500 0.502
Th1 0.000 0.000 0.510
```